(1)
Simulated powder diffraction line list
Compound: NaFe2Ni2
Radiation: Cu Kα (λ = 1.5418 Å)
Structure: DFT lattice parameters and positions (GGA-PBE)
Neutral-atom scattering factors, no anomalous dispersion.

Top 6 peaks for 2θ = 10–90°, by angle:
2θ 17.1, I = 49, (1 1 0)
2θ 38.8, I = 53, (3 1 0)
2θ 43.8, I = 17, (2 0 1)
2θ 44.5, I = 15, (3 2 0)
2θ 45.6, I = 100, (2 1 1)
2θ 80.2, I = 14, (5 2 1)

Structural model:
```
data_NaFe2Ni2
_space_group_name_H-M_alt 'P 4/m b m'
_space_group_IT_number 127
_space_group_name_Hall '-P 4 2ab'
_cell_length_a 7.345
_cell_length_b 7.345
_cell_length_c 2.500
_cell_angle_alpha 90.00
_cell_angle_beta 90.00
_cell_angle_gamma 90.00
loop_
_atom_site_label
_atom_site_type_symbol
_atom_site_fract_x
_atom_site_fract_y
_atom_site_fract_z
_atom_site_occupancy
Na1 Na 0.000 0.000 0.000 1
Fe1 Fe 0.122 0.378 0.000 1
Ni1 Ni 0.170 0.670 0.500 1
```


(2)
Simulated powder diffraction line list
Compound: Na4Np3FeSe8
Radiation: Cu Kα (λ = 1.5418 Å)
Structure: DFT lattice parameters and positions (GGA-PBE)
Neutral-atom scattering factors, no anomalous dispersion.

Top 6 peaks for 2θ = 10–90°, by angle:
2θ 12.6, I = 66, (0 0 3)
2θ 25.6, I = 27, (0 2 1)
2θ 30.5, I = 100, (0 2 4)
2θ 42.9, I = 37, (2 0 8)
2θ 44.5, I = 36, (2 2 0)
2θ 54.9, I = 19, (4 0 4)

Structural model:
```
data_Na4Np3FeSe8
_space_group_name_H-M_alt 'R -3 m'
_space_group_IT_number 166
_space_group_name_Hall '-R 3 2"'
_cell_length_a 8.1415
_cell_length_b 8.1415
_cell_length_c 21.0366
_cell_angle_alpha 90.00
_cell_angle_beta 90.00
_cell_angle_gamma 120.00
loop_
_atom_site_label
_atom_site_type_symbol
_atom_site_fract_x
_atom_site_fract_y
_atom_site_fract_z
_atom_site_occupancy
Na1 Na 0.0000 0.0000 0.0000 1
Na2 Na 0.0000 0.5000 0.0000 1
Np1 Np 0.0000 0.5000 0.5000 1
Fe1 Fe 0.0000 0.0000 0.5000 1
Se1 Se 0.0000 0.0000 0.2448 1
Se2 Se 0.0127 0.5063 0.2411 1
```


What did the second record say?
Simulated powder diffraction line list
Compound: Na4Np3FeSe8
Radiation: Cu Kα (λ = 1.5418 Å)
Structure: DFT lattice parameters and positions (GGA-PBE)
Neutral-atom scattering factors, no anomalous dispersion.

Top 6 peaks for 2θ = 10–90°, by angle:
2θ 12.6, I = 66, (0 0 3)
2θ 25.6, I = 27, (0 2 1)
2θ 30.5, I = 100, (0 2 4)
2θ 42.9, I = 37, (2 0 8)
2θ 44.5, I = 36, (2 2 0)
2θ 54.9, I = 19, (4 0 4)

Structural model:
```
data_Na4Np3FeSe8
_space_group_name_H-M_alt 'R -3 m'
_space_group_IT_number 166
_space_group_name_Hall '-R 3 2"'
_cell_length_a 8.1415
_cell_length_b 8.1415
_cell_length_c 21.0366
_cell_angle_alpha 90.00
_cell_angle_beta 90.00
_cell_angle_gamma 120.00
loop_
_atom_site_label
_atom_site_type_symbol
_atom_site_fract_x
_atom_site_fract_y
_atom_site_fract_z
_atom_site_occupancy
Na1 Na 0.0000 0.0000 0.0000 1
Na2 Na 0.0000 0.5000 0.0000 1
Np1 Np 0.0000 0.5000 0.5000 1
Fe1 Fe 0.0000 0.0000 0.5000 1
Se1 Se 0.0000 0.0000 0.2448 1
Se2 Se 0.0127 0.5063 0.2411 1
```